Starting from a structure optimized by DFT (GGA+U), the powder XRD pattern of MnSbO4 was calculated for Cu Kα, 1.54184 Å.

Largest 8 diffraction maxima, sorted by position, 5° ≤ 2θ ≤ 70°:
- d 4.896, 18.12°, I 9.9
- d 3.698, 24.06°, I 100.0
- d 2.527, 35.52°, I 16.5
- d 2.447, 36.73°, I 37.7
- d 1.997, 45.41°, I 23.0
- d 1.758, 52.03°, I 37.9
- d 1.547, 59.76°, I 13.8
- d 1.413, 66.15°, I 14.5

Cell: 5.6523 5.6523 5.6485 Å, 90.00 90.00 120.04°
Element x y z (fractional)
Mn (0.2352, 0.7648, 0.7500)
Mn (0.7648, 0.2352, 0.2500)
Sb (0.2586, 0.2586, 0.0000)
Sb (0.7414, 0.7414, 0.5000)
O (0.0331, 0.9669, 0.7500)
O (0.0485, 0.4499, 0.0196)
O (0.4499, 0.0485, 0.9804)
O (0.4506, 0.5494, 0.7500)
O (0.5494, 0.4506, 0.2500)
O (0.5501, 0.9515, 0.4804)
O (0.9515, 0.5501, 0.5196)
O (0.9669, 0.0331, 0.2500)